No. 1
The following is a theoretical PXRD pattern of Mg2BAs2. It was derived from DFT lattice parameters and positions (PBE), using CuKα.

Cell and atoms:
a = 7.6818 Å, b = 7.6818 Å, c = 3.1383 Å
α = 90.00°, β = 90.00°, γ = 90.00°
Space group P4/mbm (No. 127)
One atom of each set of equivalent atoms:
Mg (0.1414, 0.3586, 0.0000)
B (0.0000, 0.0000, 0.5000)
As (0.1629, 0.6629, 0.5000)

Main lines, low angle first (2θ from 10° to 90°):
- 16.32°, I = 26, (1 1 0)
- 23.16°, I = 21, (2 0 0)
- 25.94°, I = 37, (2 1 0)
- 37.00°, I = 39, (3 1 0)
- 38.87°, I = 100, (2 1 1)
- 47.33°, I = 18, (4 0 0)
- 57.53°, I = 19, (4 1 1)
- 72.83°, I = 19, (5 2 1)


No. 2
The following is a theoretical PXRD pattern of Er8PdC4. It was derived from DFT lattice parameters and positions (PBE), using CuKα.

Cell and atoms:
a = 17.1368 Å, b = 3.6179 Å, c = 12.1158 Å
α = 90.00°, β = 134.96°, γ = 90.00°
Space group C2/m (No. 12)
One atom of each set of equivalent atoms:
Er (0.0468, 0.0000, 0.2073)
Er (0.1426, 0.5000, 0.8204)
Er (0.1597, 0.5000, 0.1133)
Er (0.1783, 0.5000, 0.5363)
Pd (0.0000, 0.0000, 0.5000)
C (0.1543, 0.0000, 0.9770)
C (0.1769, 0.5000, 0.3310)

Main lines, low angle first (2θ from 10° to 90°):
- 29.69°, I = 15, (1 1 -2)
- 31.31°, I = 41, (6 0 -3)
- 33.05°, I = 24, (2 0 -4)
- 33.24°, I = 100, (3 1 -3)
- 37.85°, I = 11, (4 0 1)
- 54.73°, I = 21, (1 1 4)
- 56.97°, I = 14, (9 1 -3)
- 60.59°, I = 13, (6 2 -3)


No. 3
The following is a theoretical PXRD pattern of PmAg5Cl8. It was derived from DFT lattice parameters and positions (PBE), using CuKα.

Cell and atoms:
a = 7.2021 Å, b = 7.7630 Å, c = 7.9326 Å
α = 118.13°, β = 104.47°, γ = 94.08°
Space group P1 (No. 1)
One atom of each set of equivalent atoms:
Pm (0.0000, 0.0000, 0.0000)
Ag (0.0244, 0.8358, 0.4675)
Ag (0.4274, 0.7281, 0.5342)
Ag (0.5015, 0.8293, 0.0932)
Ag (0.5212, 0.2586, 0.1064)
Ag (0.8923, 0.3744, 0.7177)
Cl (0.1395, 0.1872, 0.8075)
Cl (0.1736, 0.7965, 0.1952)
Cl (0.1857, 0.7241, 0.7478)
Cl (0.2912, 0.3042, 0.3161)
Cl (0.6581, 0.6579, 0.3060)
Cl (0.6713, 0.1052, 0.8214)
Cl (0.7055, 0.6487, 0.8127)
Cl (0.8162, 0.1335, 0.3043)

Main lines, low angle first (2θ from 10° to 90°):
- 13.25°, I = 99, (0 1 0)
- 23.19°, I = 98, (0 1 1)
- 23.63°, I = 42, (1 1 -2)
- 25.69°, I = 43, (1 -2 1)
- 26.21°, I = 45, (2 0 0)
- 26.68°, I = 64, (0 2 0)
- 31.01°, I = 100, (1 -2 2)
- 39.52°, I = 53, (1 3 -1)


No. 4
The following is a theoretical PXRD pattern of Hf3MgZr. It was derived from DFT lattice parameters and positions (PBE), using CuKα.

Cell and atoms:
a = 7.8191 Å, b = 3.1649 Å, c = 9.4938 Å
α = 90.00°, β = 105.66°, γ = 90.00°
Space group P2_1/m (No. 11)
One atom of each set of equivalent atoms:
Hf (0.0432, 0.2500, 0.1441)
Hf (0.2651, 0.2500, 0.7532)
Hf (0.4490, 0.2500, 0.3495)
Mg (0.1473, 0.7500, 0.4514)
Zr (0.3439, 0.7500, 0.0451)

Main lines, low angle first (2θ from 10° to 90°):
- 17.16°, I = 18, (1 0 1)
- 34.41°, I = 34, (3 0 -1)
- 34.67°, I = 100, (1 1 -2)
- 40.13°, I = 44, (2 1 1)
- 40.26°, I = 22, (2 0 -4)
- 58.02°, I = 15, (4 1 -3)
- 58.29°, I = 22, (0 2 0)
- 69.63°, I = 22, (3 1 -6)


No. 5
The following is a theoretical PXRD pattern of Na3Sm3PbO8. It was derived from DFT lattice parameters and positions (PBE), using CuKα.

Cell and atoms:
a = 7.0243 Å, b = 7.0243 Å, c = 16.8315 Å
α = 90.00°, β = 90.00°, γ = 120.00°
Space group R-3m (No. 166, hexagonal axes)
One atom of each set of equivalent atoms:
Na (0.0000, 0.5000, 0.0000)
Sm (0.0000, 0.5000, 0.5000)
Pb (0.0000, 0.0000, 0.5000)
O (0.0000, 0.0000, 0.2357)
O (0.0193, 0.5096, 0.2365)

Main lines, low angle first (2θ from 10° to 90°):
- 15.80°, I = 100, (0 0 3)
- 29.85°, I = 56, (0 2 1)
- 31.27°, I = 54, (2 0 2)
- 36.45°, I = 74, (0 2 4)
- 39.95°, I = 22, (2 0 5)
- 52.08°, I = 26, (2 2 0)
- 52.92°, I = 23, (2 0 8)
- 54.77°, I = 24, (2 2 3)


No. 6
The following is a theoretical PXRD pattern of CsLaPb2I8. It was derived from DFT lattice parameters and positions (PBE), using CuKα.

Cell and atoms:
a = 7.5760 Å, b = 7.9558 Å, c = 10.0927 Å
α = 89.85°, β = 89.76°, γ = 88.86°
Space group P-1 (No. 2)
One atom of each set of equivalent atoms:
Cs (0.0000, 0.0000, 0.0000)
La (0.0000, 0.0000, 0.5000)
Pb (0.4998, 0.5002, 0.2474)
I (0.2437, 0.3323, 0.5002)
I (0.2600, 0.8412, 0.7130)
I (0.2614, 0.8428, 0.2861)
I (0.2659, 0.3909, 0.0013)

Main lines, low angle first (2θ from 10° to 90°):
- 16.00°, I = 97, (1 1 0)
- 16.32°, I = 71, (1 -1 0)
- 21.16°, I = 95, (1 0 -2)
- 24.07°, I = 71, (1 -1 2)
- 25.50°, I = 72, (1 -2 0)
- 31.78°, I = 100, (-2 1 2)
- 35.59°, I = 71, (0 0 4)
- 38.35°, I = 97, (0 3 -2)


No. 7
The following is a theoretical PXRD pattern of Li5Pb2. It was derived from DFT lattice parameters and positions (PBE), using CuKα.

Cell and atoms:
a = 8.2431 Å, b = 12.0637 Å, c = 5.6990 Å
α = 90.00°, β = 90.00°, γ = 90.00°
Space group Ibam (No. 72)
One atom of each set of equivalent atoms:
Li (0.0000, 0.0000, 0.2500)
Li (0.0000, 0.2274, 0.2500)
Li (0.1348, 0.4077, 0.0000)
Pb (0.2360, 0.3603, 0.5000)

Main lines, low angle first (2θ from 10° to 90°):
- 21.56°, I = 31, (2 0 0)
- 24.04°, I = 100, (1 2 1)
- 29.62°, I = 14, (0 4 0)
- 31.39°, I = 14, (0 0 2)
- 36.93°, I = 17, (2 4 0)
- 38.41°, I = 17, (2 0 2)
- 39.35°, I = 29, (3 2 1)
- 49.27°, I = 25, (2 4 2)


No. 8
The following is a theoretical PXRD pattern of Pm7As5S. It was derived from DFT lattice parameters and positions (PBE), using CuKα.

Cell and atoms:
a = 13.8976 Å, b = 4.1687 Å, c = 24.5873 Å
α = 90.00°, β = 90.14°, γ = 90.00°
Space group Cm (No. 8)
One atom of each set of equivalent atoms:
Pm (0.0000, 0.0000, 0.0000)
Pm (0.0000, 0.0000, 0.1434)
Pm (0.0444, 0.5000, 0.2855)
Pm (0.0442, 0.5000, 0.8579)
Pm (0.0950, 0.0000, 0.7161)
Pm (0.0969, 0.0000, 0.4267)
Pm (0.1262, 0.5000, 0.5717)
Pm (0.2377, 0.5000, 0.0718)
Pm (0.2679, 0.0000, 0.2165)
Pm (0.2681, 0.0000, 0.9271)
Pm (0.3191, 0.5000, 0.7855)
Pm (0.3202, 0.5000, 0.3580)
Pm (0.3644, 0.0000, 0.5002)
Pm (0.3636, 0.0000, 0.6436)
As (0.1351, 0.5000, 0.1738)
As (0.1355, 0.5000, 0.9697)
As (0.1824, 0.0000, 0.3217)
As (0.1816, 0.0000, 0.8217)
As (0.2278, 0.5000, 0.6738)
As (0.2294, 0.5000, 0.4698)
As (0.4083, 0.5000, 0.2466)
As (0.4081, 0.5000, 0.8968)
As (0.4551, 0.0000, 0.7468)
As (0.4563, 0.0000, 0.3970)
S (0.3839, 0.0000, 0.0706)
S (0.4801, 0.5000, 0.5740)

Main lines, low angle first (2θ from 10° to 90°):
- 26.63°, I = 27, (1 1 -4)
- 28.47°, I = 100, (2 0 7)
- 29.73°, I = 89, (3 1 2)
- 30.85°, I = 89, (3 1 -3)
- 31.84°, I = 32, (2 0 8)
- 43.20°, I = 85, (1 1 -10)
- 43.41°, I = 40, (0 2 0)
- 52.74°, I = 37, (2 2 7)


No. 9
The following is a theoretical PXRD pattern of RbSiCl6. It was derived from DFT lattice parameters and positions (PBE), using CuKα.

Cell and atoms:
a = 8.0634 Å, b = 9.6501 Å, c = 6.2995 Å
α = 90.00°, β = 106.74°, γ = 90.00°
Space group C2/m (No. 12)
One atom of each set of equivalent atoms:
Rb (0.0000, 0.0000, 0.0000)
Si (0.0000, 0.5000, 0.5000)
Cl (0.0955, 0.3383, 0.7556)
Cl (0.2453, 0.0000, 0.5678)

Main lines, low angle first (2θ from 10° to 90°):
- 18.34°, I = 83, (1 1 -1)
- 23.07°, I = 29, (1 1 1)
- 30.03°, I = 100, (2 2 -1)
- 30.88°, I = 33, (2 0 1)
- 35.04°, I = 68, (0 2 2)
- 35.13°, I = 34, (1 3 1)
- 48.31°, I = 15, (0 4 2)
- 50.99°, I = 33, (4 2 0)